[1]
# Er3Mg2In2
Calculated X-ray diffraction stick pattern, Cu Kα (weighted mean of Kα1 and Kα2). Input: a crystal structure in Alexandria, relaxed with PBE.
Lines closer than 0.1° are merged.

Top 8 peaks for 2θ = 5–70°, low angle first:
2theta	I/Imax
8.5	31
30.9	24
32.1	100
32.9	53
35.3	77
36.9	37
50.3	32
63.3	28

Cell and atoms:
```
Er3Mg2In2
1.0
3.5979 0.0000 0.0000
0.0000 4.8681 0.0000
0.0000 0.0000 20.8676
Er Mg In
6 4 4
Direct
0.0000 0.0000 0.0000
0.0000 0.5000 0.2037
0.0000 0.5000 0.7963
0.5000 0.0000 0.2963
0.5000 0.0000 0.7037
0.5000 0.5000 0.5000
0.0000 0.0000 0.4317
0.0000 0.0000 0.5683
0.5000 0.5000 0.0683
0.5000 0.5000 0.9317
0.0000 0.5000 0.3561
0.0000 0.5000 0.6439
0.5000 0.0000 0.1439
0.5000 0.0000 0.8561
```

---

[2]
# Ti6HN
Calculated X-ray diffraction stick pattern, Cu Kα (weighted mean of Kα1 and Kα2). Input: a crystal structure in Alexandria, relaxed with PBE.
Lines closer than 0.1° are merged.

Top 8 peaks for 2θ = 5–70°, low angle first:
2theta	I/Imax
20.9	2
23.5	1
34.9	20
37.7	23
39.8	100
52.3	17
62.6	16
69.5	16

Cell and atoms:
```
Ti6HN
1.0
2.5718 1.4848 4.7720
-2.5718 1.4848 4.7720
0.0000 -2.9696 4.7720
Ti H N
6 1 1
Direct
0.0878 0.4167 0.7376
0.2624 0.9122 0.5833
0.4167 0.7376 0.0878
0.5833 0.2624 0.9122
0.7376 0.0878 0.4167
0.9122 0.5833 0.2624
0.0000 0.0000 0.0000
0.5000 0.5000 0.5000
```

---

[3]
# LiPr2Tl
Calculated X-ray diffraction stick pattern, Cu Kα (weighted mean of Kα1 and Kα2). Input: a crystal structure in Alexandria, relaxed with PBE.
Lines closer than 0.1° are merged.

Top 8 peaks for 2θ = 5–70°, low angle first:
2theta	I/Imax
17.5	34
26.5	25
32.0	100
35.5	38
40.2	13
44.8	12
54.6	22
61.5	31

Cell and atoms:
```
LiPr2Tl
1.0
7.1490 0.0000 0.0000
0.0000 8.9829 0.0000
0.0000 0.0000 7.1668
Li Pr Tl
4 8 4
Direct
0.0000 0.2500 0.0130
0.0000 0.7500 0.9870
0.5000 0.2500 0.4870
0.5000 0.7500 0.5130
0.2500 0.0057 0.7500
0.2500 0.4943 0.7500
0.2500 0.5057 0.2500
0.2500 0.9943 0.2500
0.7500 0.0057 0.7500
0.7500 0.4943 0.7500
0.7500 0.5057 0.2500
0.7500 0.9943 0.2500
0.0000 0.2500 0.4898
0.0000 0.7500 0.5102
0.5000 0.2500 0.0102
0.5000 0.7500 0.9898
```

---

[4]
# Pm2NdDy2Ho
Calculated X-ray diffraction stick pattern, Cu Kα (weighted mean of Kα1 and Kα2). Input: a crystal structure in Alexandria, relaxed with PBE.
Lines closer than 0.1° are merged.

Top 8 peaks for 2θ = 5–70°, low angle first:
2theta	I/Imax
26.6	37
28.7	100
29.8	78
30.2	79
31.2	40
33.6	66
35.7	37
40.9	74

Cell and atoms:
```
Pm2NdDy2Ho
1.0
6.6299 0.0000 0.0000
0.0000 18.0045 0.0000
0.0000 0.0000 3.4051
Pm Nd Dy Ho
4 2 4 2
Direct
0.2311 0.1851 0.0000
0.2689 0.6851 0.5000
0.7311 0.3149 0.5000
0.7689 0.8149 0.0000
0.0000 0.5000 0.0000
0.5000 0.0000 0.5000
0.2300 0.3528 0.5000
0.2700 0.8528 0.0000
0.7300 0.1472 0.0000
0.7700 0.6472 0.5000
0.0000 0.0000 0.0000
0.5000 0.5000 0.5000
```

---

[5]
# Ba2CaH6Os
Calculated X-ray diffraction stick pattern, Cu Kα (weighted mean of Kα1 and Kα2). Input: a crystal structure in Alexandria, relaxed with PBE.
Lines closer than 0.1° are merged.

Top 8 peaks for 2θ = 5–70°, low angle first:
2theta	I/Imax
14.2	69
22.9	81
31.2	100
34.0	82
34.4	48
39.1	21
46.8	34
57.3	37

Cell and atoms:
```
Ba2CaH6Os
1.0
5.7345 0.0000 0.0000
-2.8672 4.9662 0.0000
0.0000 0.0000 6.2217
Ba Ca H Os
2 1 6 1
Direct
0.3333 0.6667 0.3327
0.6667 0.3333 0.6673
0.0000 0.0000 0.0000
0.1405 0.2810 0.6685
0.1405 0.8595 0.6685
0.2810 0.1405 0.3315
0.7190 0.8595 0.6685
0.8595 0.1405 0.3315
0.8595 0.7190 0.3315
0.0000 0.0000 0.5000
```

---

[6]
# Y3UC3
Calculated X-ray diffraction stick pattern, Cu Kα (weighted mean of Kα1 and Kα2). Input: a crystal structure in Alexandria, relaxed with PBE.
Lines closer than 0.1° are merged.

Top 8 peaks for 2θ = 5–70°, low angle first:
2theta	I/Imax
19.5	17
30.7	100
35.2	22
35.7	42
51.0	30
60.4	15
61.1	30
63.9	15

Cell and atoms:
```
Y3UC3
1.0
10.0481 0.0000 0.0000
0.0000 10.0481 0.0000
0.0000 0.0000 5.1005
Y U C
12 4 12
Direct
0.1209 0.3758 0.0000
0.1242 0.6209 0.5000
0.1329 0.1329 0.5000
0.3671 0.6329 0.0000
0.3758 0.1209 0.0000
0.3791 0.8758 0.5000
0.6209 0.1242 0.5000
0.6242 0.8791 0.0000
0.6329 0.3671 0.0000
0.8671 0.8671 0.5000
0.8758 0.3791 0.5000
0.8791 0.6242 0.0000
0.1248 0.8752 0.0000
0.3752 0.3752 0.5000
0.6248 0.6248 0.5000
0.8752 0.1248 0.0000
0.1055 0.1055 0.0000
0.1226 0.6501 0.0000
0.1501 0.3774 0.5000
0.3499 0.8774 0.0000
0.3774 0.1501 0.5000
0.3945 0.6055 0.5000
0.6055 0.3945 0.5000
0.6226 0.8499 0.5000
0.6501 0.1226 0.0000
0.8499 0.6226 0.5000
0.8774 0.3499 0.0000
0.8945 0.8945 0.0000
```